LiP3W2O12: computed XRD peak list (Cu Kα), based on the PBE+U geometry in Alexandria.

Atomic structure:
```
36
Lattice="7.667 -4.416 0.000 7.667 4.416 0.000 -5.199 0.000 7.288" Properties=species:S:1:pos:R:3 pbc="T T T"
Li 2.442 0.000 1.898
Li 7.694 0.000 5.390
P -0.367 0.697 3.616
P 7.667 1.994 0.000
P 5.068 1.243 3.644
P 0.236 -1.872 7.266
P 10.503 0.697 3.672
P 9.899 -1.872 0.022
W -2.630 -0.611 6.014
W 2.500 -0.579 4.919
W 7.635 -0.579 2.369
W 12.766 -0.611 1.274
O -1.023 0.205 2.311
O 2.416 0.994 0.054
O 1.206 2.873 7.220
O -1.140 0.285 4.858
O 5.116 2.097 2.365
O 1.085 0.104 3.581
O 8.930 2.873 0.068
O 2.465 1.113 6.017
O 5.020 2.097 4.923
O 3.794 0.370 3.517
O 4.025 -1.230 0.003
O 7.671 1.113 1.271
O 1.005 -1.539 5.992
O 6.341 0.370 3.771
O 2.702 -2.180 3.664
O 6.133 -1.394 1.257
O 4.003 -1.394 6.031
O 7.719 0.994 7.234
O 9.051 0.104 3.707
O 11.276 0.285 2.430
O 9.131 -1.539 1.296
O 6.111 -1.230 7.285
O 7.434 -2.180 3.624
O 11.159 0.205 4.977
```

Principal peaks in the range 2θ from 10° to 90°, in order of rising 2θ:
- 19.8 deg, 4.476 Å, intensity 21
- 20.1 deg, 4.427 Å, intensity 100
- 28.4 deg, 3.144 Å, intensity 22
- 28.6 deg, 3.121 Å, intensity 11
- 34.9 deg, 2.573 Å, intensity 12
- 35.2 deg, 2.552 Å, intensity 38
- 54.9 deg, 1.672 Å, intensity 11
- 55.0 deg, 1.670 Å, intensity 13